Starting from a cell relaxed with PBE, the powder X-ray diffraction pattern of Ac12Tl2Cd5 was computed for Cu Kα.

Atomic structure:
a = 13.8373 Å, b = 11.5698 Å, c = 9.1302 Å
α = 90.00°, β = 105.65°, γ = 90.00°
Space group C2/m (No. 12)
Inequivalent atoms, fractional coordinates:
Ac  0.1060  0.0000  0.1666
Ac  0.1085  0.2765  0.3998
Ac  0.1104  0.5000  0.7453
Ac  0.1731  0.1687  0.8228
Tl  0.0000  0.2792  0.0000
Cd  0.0000  0.0000  0.5000
Cd  0.1151  0.5000  0.1370
Cd  0.2274  0.0000  0.5325

Peak list (8 most intense, 2θ from 10° to 80°, most intense first)
| two_theta | I (rel.) | index |
| --- | --- | --- |
| 31.32 | 100 | 2 2 2 |
| 26.79 | 77 | 1 3 1 |
| 30.25 | 72 | 4 2 -1 |
| 30.38 | 57 | 1 3 -2 |
| 29.81 | 50 | 2 0 -3 |
| 30.57 | 46 | 3 3 -1 |
| 25.94 | 44 | 4 0 -1 |
| 25.41 | 34 | 1 3 -1 |